This entry pairs a crystal structure of V2Cu5H4O12 with its computed powder XRD pattern. Radiation: Cu Kα (λ = 1.5418 Å). Structure: a structure optimized by DFT (GGA+U).

Atomic structure:
a = 5.556 Å, b = 6.313 Å, c = 6.930 Å
α = 86.22°, β = 88.67°, γ = 89.76°
Space group P-1 (No. 2)
Symmetry-distinct sites (fractional):
V  0.055  0.192  0.186
Cu  0.003  0.683  0.323
Cu  0.498  0.154  0.836
Cu  0.500  0.500  0.500
H  0.282  0.880  0.507
H  0.290  0.522  0.846
O  0.107  0.018  0.693
O  0.113  0.386  0.350
O  0.127  0.701  0.989
O  0.324  0.414  0.749
O  0.327  0.772  0.413
O  0.343  0.112  0.091

The 10 most intense peaks (2θ from 15° to 90°), in order of falling intensity:
2θ 18.42, rel. 1000
2θ 34.70, rel. 541
2θ 32.23, rel. 442
2θ 35.84, rel. 393
2θ 37.07, rel. 334
2θ 24.24, rel. 318
2θ 61.71, rel. 258
2θ 42.83, rel. 225
2θ 46.27, rel. 187
2θ 49.66, rel. 172